1.
For Ac4TlSnO, a PBE-relaxed structure gives the theoretical powder XRD pattern in this record (Cu Kα (λ = 1.5418 Å)).
Intensities are scaled so that the largest is 100.

Largest 6 diffraction maxima, sorted by position, 10° ≤ 2θ ≤ 80°:
2theta, I/Imax
26.67, 100.0
28.99, 33.1
29.92, 32.8
31.59, 82.7
35.41, 65.1
46.39, 37.6

Structural model:
Cell: 7.1765 18.4794 7.1653 Å, 90.00 90.00 90.00°
Space group Cmcm (No. 63)
Unique sites:
Ac 0.0000 0.0650 0.2500
Ac 0.0000 0.4234 0.2500
Ac 0.2500 0.2500 0.0000
Tl 0.0000 0.1151 0.7500
Sn 0.0000 0.3864 0.7500
O 0.0000 0.2883 0.2500

2.
For Rb2NbSbI6, a PBE-relaxed structure gives the theoretical powder XRD pattern in this record (Cu Kα (λ = 1.5418 Å)).
Intensities are scaled so that the largest is 100.

Largest 6 diffraction maxima, sorted by position, 10° ≤ 2θ ≤ 80°:
2theta, I/Imax
25.15, 100.0
26.63, 51.5
30.29, 85.7
40.77, 64.5
43.36, 36.3
51.62, 31.9

Structural model:
Cell: 8.3461 8.3461 13.3879 Å, 90.00 90.00 90.00°
Space group I4/mmm (No. 139)
Unique sites:
Rb 0.0000 0.5000 0.2500
Nb 0.0000 0.0000 0.0000
Sb 0.0000 0.0000 0.5000
I 0.0000 0.0000 0.2161
I 0.2442 0.2442 0.0000

3.
For La2Ag3Rh, a PBE-relaxed structure gives the theoretical powder XRD pattern in this record (Cu Kα (λ = 1.5418 Å)).
Intensities are scaled so that the largest is 100.

Largest 6 diffraction maxima, sorted by position, 10° ≤ 2θ ≤ 80°:
2theta, I/Imax
29.84, 47.7
32.65, 100.0
37.02, 68.1
43.76, 15.7
45.20, 22.1
59.80, 18.4

Structural model:
Cell: 8.2749 16.0446 17.9995 Å, 90.00 90.00 90.00°
Space group Fddd (No. 70, origin choice 2)
Unique sites:
La 0.1250 0.2532 0.1250
La 0.1250 0.2684 0.6250
Ag 0.0751 0.3742 0.9548
Ag 0.1250 0.1250 0.2703
Rh 0.1250 0.1250 0.4215

4.
For LiHfZn11, a PBE-relaxed structure gives the theoretical powder XRD pattern in this record (Cu Kα (λ = 1.5418 Å)).
Intensities are scaled so that the largest is 100.

Largest 6 diffraction maxima, sorted by position, 10° ≤ 2θ ≤ 80°:
2theta, I/Imax
28.79, 50.8
35.61, 94.1
40.60, 100.0
41.37, 91.1
41.52, 85.7
41.72, 76.5

Structural model:
Cell: 5.1777 12.2183 6.6595 Å, 90.00 112.86 90.00°
Space group C2/m (No. 12)
Unique sites:
Li 0.0000 0.0000 0.0000
Hf 0.0000 0.5000 0.5000
Zn 0.0000 0.5000 0.0000
Zn 0.0996 0.1051 0.7154
Zn 0.1830 0.3272 0.8519
Zn 0.2500 0.2500 0.5000

5.
For CrNiRh2, a PBE-relaxed structure gives the theoretical powder XRD pattern in this record (Cu Kα (λ = 1.5418 Å)).
Intensities are scaled so that the largest is 100.

Largest 6 diffraction maxima, sorted by position, 10° ≤ 2θ ≤ 80°:
2theta, I/Imax
39.35, 59.3
43.03, 80.1
44.55, 58.6
44.84, 57.4
45.02, 100.0
45.16, 99.6

Structural model:
Cell: 8.4087 5.2686 4.6287 Å, 90.00 90.41 90.00°
Space group P2_1/c (No. 14)
Unique sites:
Cr 0.1243 0.1166 0.4222
Ni 0.3715 0.6269 0.0807
Rh 0.1198 0.6245 0.4088
Rh 0.3712 0.1319 0.0989

6.
For LaPmNd3Dy, a PBE-relaxed structure gives the theoretical powder XRD pattern in this record (Cu Kα (λ = 1.5418 Å)).
Intensities are scaled so that the largest is 100.

Largest 6 diffraction maxima, sorted by position, 10° ≤ 2θ ≤ 80°:
2theta, I/Imax
29.24, 65.3
29.58, 71.5
30.54, 100.0
32.51, 64.0
32.88, 64.6
34.00, 58.9

Structural model:
Cell: 20.6758 5.8546 6.9392 Å, 90.00 91.00 90.00°
Space group C2/m (No. 12)
Unique sites:
La 0.1463 0.0000 0.0254
Pm 0.0559 0.5000 0.2640
Nd 0.0185 0.0000 0.7471
Nd 0.1613 0.5000 0.7409
Nd 0.2194 0.5000 0.2582
Dy 0.1447 0.0000 0.4738

7.
For U2SeS2, a PBE-relaxed structure gives the theoretical powder XRD pattern in this record (Cu Kα (λ = 1.5418 Å)).
Intensities are scaled so that the largest is 100.

Largest 6 diffraction maxima, sorted by position, 10° ≤ 2θ ≤ 80°:
2theta, I/Imax
24.72, 100.0
29.73, 19.9
36.20, 26.6
38.59, 16.4
43.11, 16.7
44.33, 26.1

Structural model:
Cell: 9.9204 9.9289 10.4710 Å, 90.00 90.00 90.00°
Space group Fddd (No. 70, origin choice 2)
Unique sites:
U 0.0875 0.3750 0.3750
Se 0.1250 0.1250 0.6250
S 0.1250 0.1250 0.2852

8.
For Rb2SrTiCl6, a PBE-relaxed structure gives the theoretical powder XRD pattern in this record (Cu Kα (λ = 1.5418 Å)).
Intensities are scaled so that the largest is 100.

Largest 6 diffraction maxima, sorted by position, 10° ≤ 2θ ≤ 80°:
2theta, I/Imax
23.44, 100.0
28.82, 45.5
33.39, 96.3
41.21, 44.2
47.95, 62.9
79.95, 25.4

Structural model:
Cell: 10.7327 10.7327 10.7327 Å, 90.00 90.00 90.00°
Space group Fm-3m (No. 225)
Unique sites:
Rb 0.2500 0.2500 0.2500
Sr 0.0000 0.0000 0.0000
Ti 0.0000 0.0000 0.5000
Cl 0.0000 0.0000 0.2646

Question: What is the formula in the first record?
Answer: Ac4TlSnO